The following is a theoretical X-ray diffraction stick pattern of BS2. It was derived from a GGA-PBE-relaxed structure, using λ = 1.5418 Å (Cu Kα).
Intensities are scaled so that the largest is 1000.

Crystal structure
```
BS2
1.0
13.9432 0.0000 0.0000
0.0000 4.2317 0.0000
-7.3651 0.0000 15.9332
B S
12 24
Direct
0.1204 0.2440 0.1651
0.1204 0.2560 0.6651
0.2636 0.0214 0.5918
0.2636 0.4786 0.0918
0.3340 0.0232 0.7763
0.3340 0.4768 0.2763
0.6660 0.5232 0.7237
0.6660 0.9768 0.2237
0.7364 0.5214 0.9082
0.7364 0.9786 0.4082
0.8796 0.7440 0.3349
0.8796 0.7560 0.8349
0.0040 0.5926 0.3469
0.0040 0.9074 0.8469
0.1335 0.1854 0.5678
0.1335 0.3146 0.0678
0.2137 0.1976 0.7738
0.2137 0.3024 0.2738
0.2905 0.5481 0.0031
0.2905 0.9519 0.5031
0.3708 0.5851 0.1917
0.3708 0.9149 0.6917
0.4327 0.5494 0.3789
0.4327 0.9506 0.8789
0.5673 0.0494 0.1211
0.5673 0.4506 0.6211
0.6292 0.0851 0.3083
0.6292 0.4149 0.8083
0.7095 0.0481 0.4969
0.7095 0.4519 0.9969
0.7863 0.6976 0.7262
0.7863 0.8024 0.2262
0.8665 0.6854 0.9322
0.8665 0.8146 0.4322
0.9960 0.0926 0.1531
0.9960 0.4074 0.6531
```

Largest 8 diffraction maxima, sorted by position, 15° ≤ 2θ ≤ 90°:
Position (°2θ)  I_rel  index
22.1  491  1 1 -1
23.5  323  1 1 -2
23.6  340  1 1 1
24.6  1000  2 1 -1
25.3  523  2 1 0
31.1  586  2 0 4
31.4  649  3 0 -6
32.3  524  5 0 -2